[1]
Theoretical powder diffraction line list
Compound: Tb2MgTl6
Radiation: Cu Kα, 1.54184 Å
Structure: a structure optimized by DFT (PBE)
No peak broadening, texture or thermal motion is included.

Structure:
Unit cell a=8.4559 b=16.9145 c=3.5766 alpha=90.00 beta=90.00 gamma=90.00
Space group Cmmm (No. 65)
Symmetry-distinct sites (fractional):
Tb1 0.0000 0.1918 0.0000 (multiplicity 4)
Mg1 0.0000 0.5000 0.5000 (multiplicity 2)
Tl1 0.1847 0.3415 0.5000 (multiplicity 8)
Tl2 0.1875 0.0000 0.0000 (multiplicity 4)

Top 10 peaks for 10 to 90 degrees two-theta, sorted by position:
2θ 27.59, intensity 416, hkl 1 1 1
2θ 31.74, intensity 630, hkl 0 6 0
2θ 32.80, intensity 733, hkl 0 4 1
2θ 34.52, intensity 632, hkl 2 2 1
2θ 35.61, intensity 1000, hkl 3 3 0
2θ 38.13, intensity 265, hkl 1 5 1
2θ 39.28, intensity 309, hkl 2 4 1
2θ 41.12, intensity 276, hkl 3 1 1
2θ 56.37, intensity 334, hkl 3 7 1
2θ 63.81, intensity 375, hkl 3 3 2

[2]
Theoretical powder diffraction line list
Compound: TbU2C3
Radiation: Cu Kα, 1.54184 Å
Structure: a structure optimized by DFT (PBE)
No peak broadening, texture or thermal motion is included.

Structure:
Unit cell a=3.5461 b=5.0626 c=10.3979 alpha=90.00 beta=90.00 gamma=90.00
Space group Immm (No. 71)
Symmetry-distinct sites (fractional):
Tb1 0.0000 0.0000 0.0000 (multiplicity 2)
U1 0.0000 0.0000 0.3357 (multiplicity 4)
C1 0.0000 0.5000 0.0000 (multiplicity 2)
C2 0.0000 0.5000 0.3129 (multiplicity 4)

Top 10 peaks for 10 to 90 degrees two-theta, sorted by position:
2θ 30.78, intensity 1000, hkl 1 1 0
2θ 31.28, intensity 965, hkl 0 1 3
2θ 35.46, intensity 441, hkl 0 2 0
2θ 36.24, intensity 804, hkl 1 0 3
2θ 51.60, intensity 736, hkl 2 0 0
2θ 60.79, intensity 156, hkl 1 3 0
2θ 61.54, intensity 302, hkl 2 1 3
2θ 62.40, intensity 292, hkl 1 1 6
2θ 64.13, intensity 156, hkl 2 2 0
2θ 86.33, intensity 210, hkl 1 4 3

[3]
Theoretical powder diffraction line list
Compound: Ce2GaH6Ru
Radiation: Cu Kα, 1.54184 Å
Structure: a structure optimized by DFT (PBE)
No peak broadening, texture or thermal motion is included.

Structure:
Unit cell a=4.7067 b=4.7067 c=37.7766 alpha=90.00 beta=90.00 gamma=120.00
Space group R-3m (No. 166, hexagonal axes)
Symmetry-distinct sites (fractional):
Ce1 0.0000 0.0000 0.1264 (multiplicity 6)
Ce2 0.0000 0.0000 0.2931 (multiplicity 6)
Ga1 0.0000 0.0000 0.4195 (multiplicity 6)
H1 0.0154 0.5077 0.3077 (multiplicity 18)
H2 0.0247 0.5123 0.8576 (multiplicity 18)
Ru1 0.0000 0.0000 0.0000 (multiplicity 3)
Ru2 0.0000 0.0000 0.5000 (multiplicity 3)

Top 10 peaks for 10 to 90 degrees two-theta, sorted by position:
2θ 24.82, intensity 395, hkl 0 1 5
2θ 27.42, intensity 1000, hkl 1 0 7
2θ 32.31, intensity 424, hkl 1 0 10
2θ 38.24, intensity 931, hkl 1 1 0
2θ 40.07, intensity 316, hkl 0 1 14
2θ 46.55, intensity 192, hkl 0 1 17
2θ 47.70, intensity 230, hkl 0 2 7
2θ 62.72, intensity 193, hkl 2 1 7
2θ 69.14, intensity 161, hkl 3 0 0
2θ 72.20, intensity 269, hkl 1 1 24